# BaTlHg5Bi2
Theoretical powder diffraction line list, λ = 1.5418 Å (Cu Kα). Input: DFT lattice parameters and positions (GGA-PBE).

Cell and atoms:
a b c (Å): 4.9717 4.9717 12.1345
angles (deg): 90.00 90.00 90.00
Element x y z (fractional)
Ba (0.0000, 0.0000, 0.0000)
Tl (0.0000, 0.0000, 0.5000)
Hg (0.0000, 0.5000, 0.2097)
Hg (0.0000, 0.5000, 0.7903)
Hg (0.5000, 0.0000, 0.2097)
Hg (0.5000, 0.0000, 0.7903)
Hg (0.5000, 0.5000, 0.0000)
Bi (0.5000, 0.5000, 0.3782)
Bi (0.5000, 0.5000, 0.6218)

Largest 10 diffraction maxima, in order of rising 2θ, 15° ≤ 2θ ≤ 90°:
- hkl 1 0 3, 2θ 28.45, d = 3.138 Å, I = 19.4
- hkl 1 1 2, 2θ 29.37, d = 3.041 Å, I = 100.0
- hkl 1 1 3, 2θ 33.78, d = 2.653 Å, I = 39.3
- hkl 2 0 0, 2θ 36.13, d = 2.486 Å, I = 54.5
- hkl 0 0 5, 2θ 37.04, d = 2.427 Å, I = 12.4
- hkl 2 2 0, 2θ 52.03, d = 1.758 Å, I = 19.6
- hkl 2 0 5, 2θ 52.71, d = 1.737 Å, I = 18.3
- hkl 3 1 2, 2θ 60.87, d = 1.522 Å, I = 27.3
- hkl 3 1 3, 2θ 63.48, d = 1.465 Å, I = 13.1
- hkl 2 2 5, 2θ 65.61, d = 1.423 Å, I = 14.9